The following is a simulated powder XRD pattern of Pm3Ga2GeRh9. It was derived from the GGA-PBE geometry in Alexandria, using CuKα.

The 8 most intense peaks (15° ≤ 2θ ≤ 90°), by intensity:
(hkl)	d/Å	2θ (°)	I/Imax
2 0 2	2.316	38.89	100
0 2 1	2.653	33.78	77
2 2 0	1.618	56.90	30
0 2 4	1.658	55.43	25
0 0 3	2.741	32.67	21
1 1 0	3.237	27.56	15
0 4 2	1.327	71.06	15
1 2 2	1.883	48.32	13

Atomic structure:
```
Pm3Ga2GeRh9
1.0
6.4733 0.0000 0.0000
-3.2366 5.6060 0.0000
0.0000 0.0000 8.2233
Pm Ga Ge Rh
3 2 1 9
Cartesian
0.0000 0.0000 0.0000 Pm
0.0000 3.7373 5.7382 Pm
3.2366 1.8687 2.4851 Pm
0.0000 3.7373 1.4972 Ga
3.2366 1.8687 6.7261 Ga
0.0000 0.0000 4.1117 Ge
-1.6183 2.8030 0.0000 Rh
0.0000 1.6214 2.4168 Rh
-1.8324 4.7953 2.4168 Rh
1.4042 0.8107 5.8065 Rh
3.2366 0.0000 0.0000 Rh
1.6183 2.8030 0.0000 Rh
1.8324 4.7953 2.4168 Rh
5.0691 0.8107 5.8065 Rh
3.2366 3.9846 5.8065 Rh
```